Diffraction record for PmMn2PbO6. The XRD peak list is calculated, not measured: it uses a crystal structure in Alexandria, relaxed with PBE+U and Cu Kα X-rays.

Cell and atoms:
```
10
Lattice="3.9277 -3.8954 0.0000 3.9277 3.8954 0.0000 -3.8803 0.0000 3.9394" Properties=species:S:1:pos:R:3 pbc="T T T"
Pm 0.0000 0.0000 0.0000
Mn 1.9105 1.9443 1.9332
Mn 1.9105 -1.9443 1.9332
Pb -0.0551 0.0000 3.8670
O -2.0569 1.6149 3.8989
O -0.0623 1.5810 1.8591
O -0.0623 -1.5810 1.8591
O -2.0569 -1.6149 3.8989
O 2.2747 0.0000 2.2837
O 5.5148 0.0000 1.7033
```

Principal peaks in the range 2θ = 10–80°, sorted by position:
| two_theta | I_rel |
| --- | --- |
| 22.61 | 21 |
| 22.83 | 11 |
| 31.98 | 19 |
| 32.35 | 100 |
| 39.66 | 12 |
| 39.99 | 13 |
| 46.08 | 12 |
| 46.23 | 11 |
| 57.23 | 17 |
| 57.68 | 16 |